Entry 1:
Calculated XRD peak list of YCuAg2F8 for Cu Kα (λ = 1.5418 Å), from a cell relaxed with PBE.
Kinematic intensities with the Lorentz-polarization factor, no thermal factor.

Principal peaks in the range 10 to 90 degrees two-theta, by angle:
d [Å]  intensity
3.280  100
3.153  42
3.125  38
2.817  19
2.725  16
2.026  16
1.977  18
1.958  14
1.943  15
1.678  13

abc: 3.9597 5.4611 7.9664
angles: 87.62 89.38 87.03
Fractional coordinates of all 12 atoms:
Y: 0.0000 0.0000 0.0000
Cu: 0.0000 0.0000 0.5000
Ag: 0.4803 0.4805 0.2670
Ag: 0.5197 0.5195 0.7330
F: 0.0201 0.1319 0.2788
F: 0.0225 0.3341 0.8309
F: 0.3614 0.7607 0.4636
F: 0.4986 0.7930 0.9421
F: 0.5014 0.2070 0.0579
F: 0.6386 0.2393 0.5364
F: 0.9775 0.6659 0.1691
F: 0.9799 0.8681 0.7212

Entry 2:
Calculated XRD peak list of CrCu2Pd4 for Cu Kα (λ = 1.5418 Å), from a cell relaxed with PBE.
Kinematic intensities with the Lorentz-polarization factor, no thermal factor.

Principal peaks in the range 10 to 90 degrees two-theta, by angle:
d [Å]  intensity
3.560  14
2.761  14
2.181  100
1.952  35
1.780  13
1.712  8
1.380  11
1.315  18
1.166  25
1.091  10

abc: 5.2832 5.2832 5.2832
angles: 117.00 117.00 95.28
Fractional coordinates of all 7 atoms:
Cr: 0.0000 0.0000 0.0000
Cu: 0.0000 0.5000 0.5000
Cu: 0.5000 0.0000 0.5000
Pd: 0.0000 0.0000 0.5000
Pd: 0.0000 0.5000 0.0000
Pd: 0.5000 0.0000 0.0000
Pd: 0.5000 0.5000 0.5000

Entry 3:
Calculated XRD peak list of Tb2DyBi3 for Cu Kα (λ = 1.5418 Å), from a cell relaxed with PBE.
Kinematic intensities with the Lorentz-polarization factor, no thermal factor.

Principal peaks in the range 10 to 90 degrees two-theta, by angle:
d [Å]  intensity
3.661  3
3.170  100
2.242  78
1.912  2
1.830  28
1.585  13
1.455  1
1.418  37
1.294  28
1.121  9

abc: 7.7676 7.7676 7.7676
angles: 146.44 131.85 59.96
Fractional coordinates of all 6 atoms:
Tb: 0.1669 0.1669 0.0000
Tb: 0.8331 0.8331 0.0000
Dy: 0.5000 0.5000 0.0000
Bi: 0.0000 0.5000 0.5000
Bi: 0.3340 0.8340 0.5000
Bi: 0.6660 0.1660 0.5000

Repeat the second record exactly.
Calculated XRD peak list of CrCu2Pd4 for Cu Kα (λ = 1.5418 Å), from a cell relaxed with PBE.
Kinematic intensities with the Lorentz-polarization factor, no thermal factor.

Principal peaks in the range 10 to 90 degrees two-theta, by angle:
d [Å]  intensity
3.560  14
2.761  14
2.181  100
1.952  35
1.780  13
1.712  8
1.380  11
1.315  18
1.166  25
1.091  10

abc: 5.2832 5.2832 5.2832
angles: 117.00 117.00 95.28
Fractional coordinates of all 7 atoms:
Cr: 0.0000 0.0000 0.0000
Cu: 0.0000 0.5000 0.5000
Cu: 0.5000 0.0000 0.5000
Pd: 0.0000 0.0000 0.5000
Pd: 0.0000 0.5000 0.0000
Pd: 0.5000 0.0000 0.0000
Pd: 0.5000 0.5000 0.5000